The following is a computed X-ray diffraction stick pattern of LiVC2O6. It was derived from DFT lattice parameters and positions (GGA+U), using Cu Kα (λ = 1.5418 Å).

Principal peaks in the range 15° ≤ 2θ ≤ 90°, by angle:
| two_theta | d/Å | I (rel.) |
| --- | --- | --- |
| 16.51 | 5.368 | 74 |
| 22.13 | 4.017 | 72 |
| 27.74 | 3.216 | 100 |
| 33.38 | 2.684 | 15 |
| 40.42 | 2.232 | 77 |
| 42.46 | 2.129 | 78 |
| 48.39 | 1.881 | 21 |
| 52.12 | 1.755 | 33 |
| 63.70 | 1.461 | 27 |
| 70.31 | 1.339 | 16 |

Structural model:
```
LiVC2O6
1.0
8.0335 0.0000 0.0000
-4.0167 6.9572 0.0000
0.0000 0.0000 5.3685
Li V C O
3 3 6 18
Cartesian
-1.3539 2.3451 0.0000
2.7079 0.0000 0.0000
2.6628 4.6121 0.0000
-2.6913 4.6616 2.6842
1.3254 2.2956 2.6842
5.3827 0.0000 2.6842
0.0000 0.0000 1.4029
0.0000 0.0000 3.9656
0.0000 4.6381 1.4895
0.0000 4.6381 4.0219
4.0167 2.3191 1.3465
4.0167 2.3191 3.8790
-0.0054 1.3170 1.4085
-2.8734 6.3034 1.4085
-1.0922 4.0180 1.5114
1.1433 0.6538 3.9600
-1.1551 5.1832 4.0298
0.1055 3.3653 4.0298
1.0831 4.0024 1.5114
0.0090 5.8940 1.5114
2.8617 1.7740 1.3386
1.0496 5.3659 4.0298
2.9246 2.9392 3.8571
4.0258 1.0632 3.8571
5.0663 1.5913 1.3386
4.1222 3.5919 1.3386
2.8788 6.2940 1.4085
5.0999 2.9548 3.8571
4.0113 5.6402 3.9600
6.8956 0.6632 3.9600
```

***

The following is a computed X-ray diffraction stick pattern of Li2VC3O9. It was derived from DFT lattice parameters and positions (GGA+U), using Cu Kα (λ = 1.5418 Å).

Principal peaks in the range 15° ≤ 2θ ≤ 90°, by angle:
| two_theta | d/Å | I (rel.) |
| --- | --- | --- |
| 17.07 | 5.193 | 100 |
| 18.11 | 4.897 | 32 |
| 18.42 | 4.818 | 44 |
| 22.41 | 3.967 | 79 |
| 23.25 | 3.825 | 48 |
| 29.16 | 3.062 | 32 |
| 30.59 | 2.923 | 12 |
| 35.23 | 2.548 | 19 |
| 39.64 | 2.274 | 19 |
| 58.57 | 1.576 | 11 |

Structural model:
```
Li2VC3O9
1.0
9.7950 0.0000 0.0000
0.0000 4.8175 3.9671
0.0000 -4.8175 3.9671
Li V C O
4 2 6 18
Cartesian
2.4487 -4.6141 3.9671
2.4487 -2.0676 4.8777
7.3462 2.0676 4.8777
7.3462 4.6141 3.9671
2.4487 1.9864 4.2143
7.3462 -1.9864 4.2143
0.1802 2.8639 4.1457
2.4487 -0.1596 3.0057
4.7173 2.8639 4.1457
5.0776 -2.8639 4.1457
7.3462 0.1596 3.0057
9.6148 -2.8639 4.1457
0.6116 1.7925 4.8119
1.0107 -3.2029 4.1019
1.1905 3.4596 3.5472
2.4487 -1.1435 2.2524
2.4487 1.1124 2.5263
2.4487 -0.1527 4.3128
3.7070 3.4596 3.5472
3.8868 -3.2029 4.1019
4.2859 1.7925 4.8119
5.5091 -1.7925 4.8119
5.9081 3.2029 4.1019
6.0880 -3.4596 3.5472
7.3462 -1.1124 2.5263
7.3462 1.1435 2.2524
7.3462 0.1527 4.3128
8.6045 -3.4596 3.5472
8.7843 3.2029 4.1019
9.1834 -1.7925 4.8119
```

***

The following is a computed X-ray diffraction stick pattern of Li3V2C4O12. It was derived from DFT lattice parameters and positions (GGA+U), using Cu Kα (λ = 1.5418 Å).

Principal peaks in the range 15° ≤ 2θ ≤ 90°, by angle:
| two_theta | d/Å | I (rel.) |
| --- | --- | --- |
| 17.97 | 4.935 | 100 |
| 23.90 | 3.724 | 16 |
| 29.01 | 3.078 | 64 |
| 29.17 | 3.061 | 38 |
| 30.38 | 2.942 | 23 |
| 30.93 | 2.891 | 55 |
| 31.82 | 2.812 | 20 |
| 45.26 | 2.004 | 17 |
| 48.40 | 1.881 | 18 |
| 48.92 | 1.862 | 15 |

Structural model:
```
Li3V2C4O12
1.0
7.6580 0.0000 0.0000
2.2749 7.3148 0.0000
2.4891 1.8618 8.3720
Li V C O
6 4 8 24
Cartesian
0.0000 0.0000 0.0000
3.3488 5.5822 4.7085
6.0924 7.5498 3.5979
6.1289 4.4958 4.1390
4.8481 1.0085 0.4717
9.9745 4.8467 7.8647
5.0185 2.2338 6.3076
4.8855 3.7486 0.0093
8.7648 4.9879 2.0522
8.8035 0.9936 4.1521
3.1217 3.2190 4.0185
2.1640 2.4613 0.1913
3.9469 6.0502 1.9651
5.4274 7.2275 6.3924
9.3686 7.8570 8.0964
8.3522 7.1391 4.3949
7.7938 3.2838 6.1104
6.9578 2.5801 2.2188
1.4184 3.4322 0.5767
2.4372 4.2018 3.5872
2.7687 6.2206 1.4665
4.5095 7.0371 5.4810
4.0708 3.4504 7.7451
2.8600 1.9794 3.7104
5.6605 8.4784 6.7575
4.3304 6.8107 2.9878
4.1315 3.4956 4.8150
3.3856 2.3135 0.5501
6.0538 6.2506 6.8698
4.7656 5.1709 1.5631
7.6267 8.1145 4.8395
8.6075 8.8447 7.6900
6.5415 3.4594 5.7420
7.7725 6.2888 3.6097
6.1475 2.3860 1.2183
9.1475 6.6436 7.7638
7.1212 3.7566 2.7172
8.2725 4.0281 7.0490
7.8608 6.3456 0.5116
9.6120 7.0192 4.6991
7.6077 1.5547 2.6603
8.5300 2.3873 5.5792
```

***

The following is a computed X-ray diffraction stick pattern of LiVC2O6. It was derived from DFT lattice parameters and positions (GGA+U), using Cu Kα (λ = 1.5418 Å).

Principal peaks in the range 15° ≤ 2θ ≤ 90°, by angle:
| two_theta | d/Å | I (rel.) |
| --- | --- | --- |
| 17.42 | 5.092 | 52 |
| 22.64 | 3.927 | 56 |
| 32.16 | 2.783 | 100 |
| 35.25 | 2.546 | 10 |
| 42.42 | 2.131 | 63 |
| 46.23 | 1.964 | 14 |
| 53.04 | 1.727 | 43 |
| 60.59 | 1.528 | 11 |
| 68.19 | 1.375 | 11 |
| 69.37 | 1.355 | 13 |

Structural model:
```
LiVC2O6
1.0
2.3463 1.3546 5.0921
-2.3463 1.3546 5.0921
0.0000 -2.7093 5.0921
Li V C O
1 1 2 6
Cartesian
0.0000 0.0000 0.0000
0.0000 0.0000 7.6381
0.0000 0.0000 3.7413
0.0000 0.0000 11.5349
-1.0515 -1.3048 6.4372
-1.6557 0.2582 8.8390
-0.6042 1.5630 6.4372
0.6042 -1.5630 8.8390
1.6557 -0.2582 6.4372
1.0515 1.3048 8.8390
```